For AcTbB4, a cell relaxed with PBE gives the simulated powder diffractogram in this record (Cu Kα, 1.54184 Å).
Peak positions follow from Bragg's law for the DFT cell and can differ from measured ones.

Most intense lines, 10° ≤ 2θ ≤ 90°, in order of rising 2θ:
2θ/deg  I_rel
21.00  79
30.72  71
31.09  35
37.51  100
37.82  48
42.74  20
53.55  31
53.79  15
55.08  18
59.60  21
68.14  17
72.13  16

Structural model:
abc: 5.3872 5.3872 5.3872
angles: 143.50 115.45 76.50
Fractional positions:
Ac 0.0000 0.0000 0.0000
Tb 0.5000 0.5000 0.0000
B 0.0891 0.7526 0.3365
B 0.4161 0.7526 0.6635
B 0.5839 0.2474 0.3365
B 0.9109 0.2474 0.6635

For AcBeCu3, a cell relaxed with PBE gives the simulated powder diffractogram in this record (Cu Kα, 1.54184 Å).
Peak positions follow from Bragg's law for the DFT cell and can differ from measured ones.

Most intense lines, 10° ≤ 2θ ≤ 90°, in order of rising 2θ:
2θ/deg  I_rel
19.23  69
19.30  34
31.58  81
31.80  79
32.13  77
38.95  51
39.15  100
42.15  39
42.63  38
51.54  23
58.69  21
58.79  21

Structural model:
abc: 3.5472 5.3065 5.3269
angles: 60.25 89.49 88.87
Fractional positions:
Ac 0.0000 0.0000 0.0000
Be 0.9882 0.6683 0.6643
Cu 0.4871 0.0027 0.4973
Cu 0.4943 0.5007 0.9972
Cu 0.4997 0.4993 0.4980

For AcPm2Bi6, a cell relaxed with PBE gives the simulated powder diffractogram in this record (Cu Kα, 1.54184 Å).
Peak positions follow from Bragg's law for the DFT cell and can differ from measured ones.

Most intense lines, 10° ≤ 2θ ≤ 90°, in order of rising 2θ:
2θ/deg  I_rel
14.72  21
14.96  20
25.59  35
29.69  52
30.18  49
30.39  66
30.59  15
36.13  100
42.85  39
53.13  14
56.97  28
57.55  27

Structural model:
abc: 5.9234 6.0175 12.3024
angles: 90.00 90.00 90.00
Fractional positions:
Ac 0.0000 0.0000 0.0000
Pm 0.5000 0.5000 0.2531
Pm 0.5000 0.5000 0.7469
Bi 0.0000 0.5000 0.1462
Bi 0.0000 0.5000 0.8538
Bi 0.5000 0.0000 0.1561
Bi 0.5000 0.0000 0.8439
Bi 0.5000 0.5000 0.0000
Bi 0.5000 0.5000 0.5000

For AcTa2Bi, a cell relaxed with PBE gives the simulated powder diffractogram in this record (Cu Kα, 1.54184 Å).
Peak positions follow from Bragg's law for the DFT cell and can differ from measured ones.

Most intense lines, 10° ≤ 2θ ≤ 90°, in order of rising 2θ:
2θ/deg  I_rel
31.61  45
33.24  100
35.40  29
36.36  32
38.03  31
41.04  44
53.75  39
60.29  22
64.68  15
66.63  34
74.49  11
88.91  13

Structural model:
abc: 3.4108 3.4108 19.7653
angles: 90.00 90.00 120.00
Fractional positions:
Ac 0.3333 0.6667 0.2500
Ac 0.6667 0.3333 0.7500
Ta 0.3333 0.6667 0.6120
Ta 0.3333 0.6667 0.8880
Ta 0.6667 0.3333 0.1120
Ta 0.6667 0.3333 0.3880
Bi 0.0000 0.0000 0.0000
Bi 0.0000 0.0000 0.5000

For AcW3C4, a cell relaxed with PBE gives the simulated powder diffractogram in this record (Cu Kα, 1.54184 Å).
Peak positions follow from Bragg's law for the DFT cell and can differ from measured ones.

Most intense lines, 10° ≤ 2θ ≤ 90°, in order of rising 2θ:
2θ/deg  I_rel
31.06  100
36.02  46
51.86  39
61.66  29
61.77  15
64.76  12
76.33  4
76.54  2
84.67  6
84.77  12
87.42  11
87.60  6

Structural model:
abc: 6.1027 6.1027 6.1027
angles: 131.73 131.73 70.65
Fractional positions:
Ac 0.0000 0.0000 0.0000
W 0.2500 0.7500 0.5000
W 0.5000 0.5000 0.0000
W 0.7500 0.2500 0.5000
C 0.1504 0.1504 0.6002
C 0.4498 0.8496 0.0000
C 0.5502 0.5502 0.3998
C 0.8496 0.4498 0.0000

For AcMg4Cd8, a cell relaxed with PBE gives the simulated powder diffractogram in this record (Cu Kα, 1.54184 Å).
Peak positions follow from Bragg's law for the DFT cell and can differ from measured ones.

Most intense lines, 10° ≤ 2θ ≤ 90°, in order of rising 2θ:
2θ/deg  I_rel
17.77  23
24.82  16
29.63  44
30.69  48
34.76  27
35.69  100
36.00  28
39.31  15
47.29  14
56.59  26
63.92  14
64.52  26

Structural model:
abc: 7.6740 7.6740 7.6740
angles: 98.88 98.88 133.73
Fractional positions:
Ac 0.0000 0.0000 0.0000
Mg 0.0000 0.0000 0.5000
Mg 0.0000 0.5000 0.0000
Mg 0.5000 0.0000 0.0000
Mg 0.5000 0.5000 0.5000
Cd 0.0000 0.3501 0.3501
Cd 0.0000 0.6499 0.6499
Cd 0.2814 0.5000 0.7814
Cd 0.3501 0.0000 0.3501
Cd 0.5000 0.2814 0.7814
Cd 0.5000 0.7186 0.2186
Cd 0.6499 0.0000 0.6499
Cd 0.7186 0.5000 0.2186